# 1
The following is a theoretical XRD peak list of Fe2PW. It was derived from a cell relaxed with GGA-PBE, using Cu Kα.

Principal peaks in the range 2θ = 15–90°, sorted by position:
d [Å]	Position (°2θ)	I_rel
3.224	27.7	117
2.485	36.1	624
2.149	42.0	176
2.067	43.8	1000
1.905	47.8	439
1.425	65.5	185
1.347	69.8	136
1.230	77.6	125
1.184	81.2	121
1.128	86.2	278

Cell and atoms:
```
data_Fe2PW
_chemical_formula_sum 'Fe2 P1 W1'
_cell_length_a 2.694
_cell_length_b 2.694
_cell_length_c 6.448
_cell_angle_alpha 90.00
_cell_angle_beta 90.00
_cell_angle_gamma 90.00
_symmetry_space_group_name_H-M 'P 4/m m m'
_symmetry_Int_Tables_number 123
_symmetry_space_group_name_Hall '-P 4 2'
loop_
_atom_site_label
_atom_site_type_symbol
_atom_site_fract_x
_atom_site_fract_y
_atom_site_fract_z
Fe1 Fe 0.000 0.000 0.202
P1 P 0.500 0.500 0.000
W1 W 0.500 0.500 0.500
```

# 2
The following is a theoretical XRD peak list of Yb2Fe12P7. It was derived from a cell relaxed with GGA-PBE, using Cu Kα.

Principal peaks in the range 2θ = 15–90°, sorted by position:
d [Å]	Position (°2θ)	I_rel
3.274	27.2	157
2.934	30.5	109
2.587	34.7	122
2.277	39.6	1000
2.241	40.2	107
1.849	49.3	105
1.805	50.6	168
1.694	54.1	163
1.597	57.7	116
1.235	77.2	113

Cell and atoms:
```
data_Yb2Fe12P7
_chemical_formula_sum 'Yb2 Fe12 P7'
_cell_length_a 8.9634
_cell_length_b 8.9634
_cell_length_c 3.6110
_cell_angle_alpha 90.00
_cell_angle_beta 90.00
_cell_angle_gamma 120.00
_symmetry_space_group_name_H-M 'P -6'
_symmetry_Int_Tables_number 174
_symmetry_space_group_name_Hall 'P -6'
loop_
_atom_site_label
_atom_site_type_symbol
_atom_site_fract_x
_atom_site_fract_y
_atom_site_fract_z
Yb1 Yb 0.0000 0.0000 0.0000
Yb2 Yb 0.3333 0.6667 0.5000
Fe1 Fe 0.0424 0.7611 0.5000
Fe2 Fe 0.0982 0.3790 0.0000
Fe3 Fe 0.4474 0.2359 0.0000
Fe4 Fe 0.5119 0.0606 0.5000
P1 P 0.0680 0.6209 0.0000
P2 P 0.2573 0.0402 0.5000
P3 P 0.6667 0.3333 0.5000
```

# 3
The following is a theoretical XRD peak list of PaFe4. It was derived from a cell relaxed with GGA-PBE, using Cu Kα.

Principal peaks in the range 2θ = 15–90°, sorted by position:
d [Å]	Position (°2θ)	I_rel
4.529	19.6	1000
3.202	27.9	863
2.265	39.8	706
2.025	44.7	493
1.849	49.3	375
1.601	57.6	465
1.510	61.4	246
1.432	65.1	166
1.307	72.3	154
1.210	79.1	194

Cell and atoms:
```
data_PaFe4
_chemical_formula_sum 'Pa1 Fe4'
_cell_length_a 4.529
_cell_length_b 4.529
_cell_length_c 4.529
_cell_angle_alpha 90.00
_cell_angle_beta 90.00
_cell_angle_gamma 90.00
_symmetry_space_group_name_H-M 'P m -3 m'
_symmetry_Int_Tables_number 221
_symmetry_space_group_name_Hall '-P 4 2 3'
loop_
_atom_site_label
_atom_site_type_symbol
_atom_site_fract_x
_atom_site_fract_y
_atom_site_fract_z
Pa1 Pa 0.000 0.000 0.000
Fe1 Fe 0.000 0.000 0.500
Fe2 Fe 0.500 0.500 0.500
```

# 4
The following is a theoretical XRD peak list of PaFe. It was derived from a cell relaxed with GGA-PBE, using Cu Kα.

Principal peaks in the range 2θ = 15–90°, sorted by position:
d [Å]	Position (°2θ)	I_rel
3.057	29.2	774
2.981	30.0	508
2.848	31.4	434
2.638	34.0	679
2.516	35.7	1000
2.302	39.1	765
2.133	42.4	380
1.886	48.3	333
1.672	54.9	354
1.635	56.3	331

Cell and atoms:
```
data_PaFe
_chemical_formula_sum 'Pa4 Fe4'
_cell_length_a 6.995
_cell_length_b 3.623
_cell_length_c 5.696
_cell_angle_alpha 90.00
_cell_angle_beta 90.00
_cell_angle_gamma 90.00
_symmetry_space_group_name_H-M 'P n m a'
_symmetry_Int_Tables_number 62
_symmetry_space_group_name_Hall '-P 2ac 2n'
loop_
_atom_site_label
_atom_site_type_symbol
_atom_site_fract_x
_atom_site_fract_y
_atom_site_fract_z
Pa1 Pa 0.175 0.250 0.181
Fe1 Fe 0.064 0.250 0.668
```

# 5
The following is a theoretical XRD peak list of PaFe2Pd7. It was derived from a cell relaxed with GGA-PBE, using Cu Kα.

Principal peaks in the range 2θ = 15–90°, sorted by position:
d [Å]	Position (°2θ)	I_rel
3.657	24.3	250
3.584	24.8	618
2.801	32.0	499
2.529	35.5	593
2.367	38.0	719
2.178	41.5	552
2.097	43.1	932
2.070	43.7	1000
1.603	57.5	428
1.211	79.1	261

Cell and atoms:
```
data_PaFe2Pd7
_chemical_formula_sum 'Pa2 Fe4 Pd14'
_cell_length_a 7.314
_cell_length_b 12.422
_cell_length_c 4.357
_cell_angle_alpha 90.00
_cell_angle_beta 90.00
_cell_angle_gamma 90.00
_symmetry_space_group_name_H-M 'C m m m'
_symmetry_Int_Tables_number 65
_symmetry_space_group_name_Hall '-C 2 2'
loop_
_atom_site_label
_atom_site_type_symbol
_atom_site_fract_x
_atom_site_fract_y
_atom_site_fract_z
Pa1 Pa 0.000 0.000 0.000
Fe1 Fe 0.000 0.304 0.500
Pd1 Pd 0.000 0.214 0.000
Pd2 Pd 0.000 0.500 0.500
Pd3 Pd 0.186 0.116 0.500
```

# 6
The following is a theoretical XRD peak list of Pa2FePt. It was derived from a cell relaxed with GGA-PBE, using Cu Kα.

Principal peaks in the range 2θ = 15–90°, sorted by position:
d [Å]	Position (°2θ)	I_rel
4.295	20.7	72
4.154	21.4	76
2.452	36.7	1000
2.147	42.1	342
2.077	43.6	155
1.518	61.0	116
1.493	62.2	219
1.291	73.3	271
1.260	75.5	126
1.226	77.9	115

Cell and atoms:
```
data_Pa2FePt
_chemical_formula_sum 'Pa2 Fe1 Pt1'
_cell_length_a 4.295
_cell_length_b 4.295
_cell_length_c 4.154
_cell_angle_alpha 90.00
_cell_angle_beta 90.00
_cell_angle_gamma 90.00
_symmetry_space_group_name_H-M 'P 4/m m m'
_symmetry_Int_Tables_number 123
_symmetry_space_group_name_Hall '-P 4 2'
loop_
_atom_site_label
_atom_site_type_symbol
_atom_site_fract_x
_atom_site_fract_y
_atom_site_fract_z
Pa1 Pa 0.000 0.500 0.000
Fe1 Fe 0.000 0.000 0.500
Pt1 Pt 0.500 0.500 0.500
```